1.
Theoretical X-ray diffraction stick pattern
Compound: KCu9Sb4
Radiation: Cu Kα, 1.54184 Å
Structure: DFT lattice parameters and positions (GGA-PBE)

Cell and atoms:
```
data_KCu9Sb4
_chemical_formula_sum 'K2 Cu18 Sb8'
_space_group_name_H-M_alt 'P 1'
_space_group_IT_number 1
_cell_length_a 8.963
_cell_length_b 8.963
_cell_length_c 8.963
_cell_angle_alpha 121.92
_cell_angle_beta 121.92
_cell_angle_gamma 86.71
loop_
_space_group_symop_operation_xyz
'x,y,z'
loop_
_atom_site_label
_atom_site_type_symbol
_atom_site_fract_x
_atom_site_fract_y
_atom_site_fract_z
_atom_site_occupancy
K1 K 0.250 0.250 0.000 1
K2 K 0.750 0.750 0.000 1
Cu1 Cu 0.000 0.500 0.500 1
Cu2 Cu 0.050 0.796 0.846 1
Cu3 Cu 0.067 0.567 0.287 1
Cu4 Cu 0.204 0.050 0.254 1
Cu5 Cu 0.220 0.933 0.500 1
Cu6 Cu 0.280 0.780 0.713 1
Cu7 Cu 0.296 0.550 0.846 1
Cu8 Cu 0.433 0.720 0.500 1
Cu9 Cu 0.450 0.296 0.746 1
Cu10 Cu 0.500 0.000 0.500 1
Cu11 Cu 0.550 0.704 0.254 1
Cu12 Cu 0.567 0.280 0.500 1
Cu13 Cu 0.704 0.450 0.154 1
Cu14 Cu 0.720 0.220 0.287 1
Cu15 Cu 0.780 0.067 0.500 1
Cu16 Cu 0.796 0.950 0.746 1
Cu17 Cu 0.933 0.433 0.713 1
Cu18 Cu 0.950 0.204 0.154 1
Sb1 Sb 0.057 0.187 0.500 1
Sb2 Sb 0.187 0.687 0.130 1
Sb3 Sb 0.313 0.443 0.500 1
Sb4 Sb 0.443 0.943 0.130 1
Sb5 Sb 0.557 0.057 0.870 1
Sb6 Sb 0.687 0.557 0.500 1
Sb7 Sb 0.813 0.313 0.870 1
Sb8 Sb 0.943 0.813 0.500 1
```

Most intense lines, 2θ from 10° to 90°, by angle:
two_theta, I/Imax
14.39, 61
34.38, 65
35.41, 42
41.70, 61
42.86, 80
43.02, 40
43.43, 100
44.16, 45
67.02, 29
69.16, 24

=====

2.
Theoretical X-ray diffraction stick pattern
Compound: Ba3Ca2
Radiation: Cu Kα, 1.54184 Å
Structure: DFT lattice parameters and positions (GGA-PBE)

Cell and atoms:
```
data_Ba3Ca2
_chemical_formula_sum 'Ba12 Ca8'
_space_group_name_H-M_alt 'P 1'
_space_group_IT_number 1
_cell_length_a 16.168
_cell_length_b 6.739
_cell_length_c 10.360
_cell_angle_alpha 90.00
_cell_angle_beta 90.00
_cell_angle_gamma 90.00
loop_
_space_group_symop_operation_xyz
'x,y,z'
loop_
_atom_site_label
_atom_site_type_symbol
_atom_site_fract_x
_atom_site_fract_y
_atom_site_fract_z
_atom_site_occupancy
Ba1 Ba 0.088 0.250 0.003 1
Ba2 Ba 0.128 0.750 0.307 1
Ba3 Ba 0.215 0.750 0.826 1
Ba4 Ba 0.285 0.250 0.326 1
Ba5 Ba 0.372 0.250 0.807 1
Ba6 Ba 0.412 0.750 0.503 1
Ba7 Ba 0.588 0.250 0.497 1
Ba8 Ba 0.628 0.750 0.193 1
Ba9 Ba 0.715 0.750 0.674 1
Ba10 Ba 0.785 0.250 0.174 1
Ba11 Ba 0.872 0.250 0.693 1
Ba12 Ba 0.912 0.750 0.997 1
Ca1 Ca 0.007 0.750 0.643 1
Ca2 Ca 0.136 0.250 0.626 1
Ca3 Ca 0.364 0.750 0.126 1
Ca4 Ca 0.493 0.250 0.143 1
Ca5 Ca 0.507 0.750 0.857 1
Ca6 Ca 0.636 0.250 0.874 1
Ca7 Ca 0.864 0.750 0.374 1
Ca8 Ca 0.993 0.250 0.357 1
```

Most intense lines, 2θ from 10° to 90°, by angle:
two_theta, I/Imax
17.98, 26
22.80, 67
24.31, 92
25.70, 25
26.43, 100
27.13, 76
27.30, 48
37.69, 31
44.51, 25
47.00, 21

=====

3.
Theoretical X-ray diffraction stick pattern
Compound: TeH3Pt
Radiation: Cu Kα, 1.54184 Å
Structure: DFT lattice parameters and positions (GGA-PBE)

Cell and atoms:
```
data_TeH3Pt
_chemical_formula_sum 'Te2 H6 Pt2'
_space_group_name_H-M_alt 'P 1'
_space_group_IT_number 1
_cell_length_a 4.552
_cell_length_b 6.745
_cell_length_c 4.345
_cell_angle_alpha 90.00
_cell_angle_beta 90.00
_cell_angle_gamma 90.00
loop_
_space_group_symop_operation_xyz
'x,y,z'
loop_
_atom_site_label
_atom_site_type_symbol
_atom_site_fract_x
_atom_site_fract_y
_atom_site_fract_z
_atom_site_occupancy
Te1 Te 0.000 0.051 0.000 1
Te2 Te 0.500 0.949 0.500 1
H1 H 0.000 0.682 0.202 1
H2 H 0.247 0.596 0.855 1
H3 H 0.253 0.404 0.355 1
H4 H 0.500 0.318 0.702 1
H5 H 0.747 0.404 0.355 1
H6 H 0.753 0.596 0.855 1
Pt1 Pt 0.000 0.460 0.082 1
Pt2 Pt 0.500 0.540 0.582 1
```

Most intense lines, 2θ from 10° to 90°, by angle:
two_theta, I/Imax
13.13, 15
26.43, 45
28.40, 100
31.40, 17
39.18, 60
39.59, 22
44.97, 17
45.42, 15
48.24, 18
49.92, 16

=====

4.
Theoretical X-ray diffraction stick pattern
Compound: NdSm2TmSe5
Radiation: Cu Kα, 1.54184 Å
Structure: DFT lattice parameters and positions (GGA-PBE)

Cell and atoms:
```
data_NdSm2TmSe5
_chemical_formula_sum 'Nd1 Sm2 Tm1 Se5'
_space_group_name_H-M_alt 'P 1'
_space_group_IT_number 1
_cell_length_a 5.084
_cell_length_b 5.084
_cell_length_c 10.954
_cell_angle_alpha 90.00
_cell_angle_beta 90.00
_cell_angle_gamma 90.00
loop_
_space_group_symop_operation_xyz
'x,y,z'
loop_
_atom_site_label
_atom_site_type_symbol
_atom_site_fract_x
_atom_site_fract_y
_atom_site_fract_z
_atom_site_occupancy
Nd1 Nd 0.000 0.000 0.000 1
Sm1 Sm 0.500 0.500 0.334 1
Sm2 Sm 0.500 0.500 0.666 1
Tm1 Tm 0.000 0.000 0.500 1
Se1 Se 0.000 0.000 0.252 1
Se2 Se 0.000 0.000 0.748 1
Se3 Se 0.000 0.500 0.500 1
Se4 Se 0.500 0.000 0.500 1
Se5 Se 0.500 0.500 0.000 1
```

Most intense lines, 2θ from 10° to 90°, by angle:
two_theta, I/Imax
23.88, 21
24.76, 100
30.13, 40
35.03, 46
35.31, 85
37.30, 43
47.08, 23
48.88, 20
50.79, 30
52.30, 33

=====

5.
Theoretical X-ray diffraction stick pattern
Compound: Ba2SrWN4
Radiation: Cu Kα, 1.54184 Å
Structure: DFT lattice parameters and positions (GGA-PBE)

Cell and atoms:
```
data_Ba2SrWN4
_chemical_formula_sum 'Ba4 Sr2 W2 N8'
_space_group_name_H-M_alt 'P 1'
_space_group_IT_number 1
_cell_length_a 8.020
_cell_length_b 7.192
_cell_length_c 6.115
_cell_angle_alpha 90.00
_cell_angle_beta 90.00
_cell_angle_gamma 90.00
loop_
_space_group_symop_operation_xyz
'x,y,z'
loop_
_atom_site_label
_atom_site_type_symbol
_atom_site_fract_x
_atom_site_fract_y
_atom_site_fract_z
_atom_site_occupancy
Ba1 Ba 0.245 0.182 0.000 1
Ba2 Ba 0.255 0.818 0.500 1
Ba3 Ba 0.745 0.818 0.500 1
Ba4 Ba 0.755 0.182 0.000 1
Sr1 Sr 0.000 0.357 0.505 1
Sr2 Sr 0.500 0.643 0.005 1
W1 W 0.000 0.674 0.023 1
W2 W 0.500 0.326 0.523 1
N1 N 0.000 0.426 0.911 1
N2 N 0.000 0.659 0.330 1
N3 N 0.201 0.803 0.948 1
N4 N 0.299 0.197 0.448 1
N5 N 0.500 0.341 0.830 1
N6 N 0.500 0.574 0.411 1
N7 N 0.701 0.197 0.448 1
N8 N 0.799 0.803 0.948 1
```

Most intense lines, 2θ from 10° to 90°, by angle:
two_theta, I/Imax
24.76, 20
25.43, 29
28.80, 45
29.21, 40
29.39, 100
39.11, 15
44.01, 25
51.90, 23
53.69, 25
54.51, 16

=====

6.
Theoretical X-ray diffraction stick pattern
Compound: Mn2PbS4
Radiation: Cu Kα, 1.54184 Å
Structure: DFT lattice parameters and positions (GGA-PBE)

Cell and atoms:
```
data_Mn2PbS4
_chemical_formula_sum 'Mn4 Pb2 S8'
_space_group_name_H-M_alt 'P 1'
_space_group_IT_number 1
_cell_length_a 7.606
_cell_length_b 7.606
_cell_length_c 7.628
_cell_angle_alpha 119.96
_cell_angle_beta 119.96
_cell_angle_gamma 60.20
loop_
_space_group_symop_operation_xyz
'x,y,z'
loop_
_atom_site_label
_atom_site_type_symbol
_atom_site_fract_x
_atom_site_fract_y
_atom_site_fract_z
_atom_site_occupancy
Mn1 Mn 0.000 0.000 0.000 1
Mn2 Mn 0.000 0.000 0.500 1
Mn3 Mn 0.000 0.500 0.000 1
Mn4 Mn 0.500 0.000 0.000 1
Pb1 Pb 0.375 0.375 0.624 1
Pb2 Pb 0.625 0.625 0.376 1
S1 S 0.190 0.770 0.229 1
S2 S 0.229 0.229 0.189 1
S3 S 0.230 0.230 0.770 1
S4 S 0.230 0.810 0.771 1
S5 S 0.770 0.190 0.229 1
S6 S 0.770 0.770 0.230 1
S7 S 0.771 0.771 0.811 1
S8 S 0.810 0.230 0.771 1
```

Most intense lines, 2θ from 10° to 90°, by angle:
two_theta, I/Imax
14.24, 14
23.35, 99
27.45, 100
36.31, 15
41.01, 30
43.60, 40
43.75, 19
47.71, 37
47.83, 18
64.66, 11

=====

7.
Theoretical X-ray diffraction stick pattern
Compound: Mg3H2Ir3
Radiation: Cu Kα, 1.54184 Å
Structure: DFT lattice parameters and positions (GGA-PBE)

Cell and atoms:
```
data_Mg3H2Ir3
_chemical_formula_sum 'Mg3 H2 Ir3'
_space_group_name_H-M_alt 'P 1'
_space_group_IT_number 1
_cell_length_a 4.506
_cell_length_b 3.213
_cell_length_c 7.133
_cell_angle_alpha 90.00
_cell_angle_beta 106.07
_cell_angle_gamma 90.00
loop_
_space_group_symop_operation_xyz
'x,y,z'
loop_
_atom_site_label
_atom_site_type_symbol
_atom_site_fract_x
_atom_site_fract_y
_atom_site_fract_z
_atom_site_occupancy
Mg1 Mg 0.000 0.000 0.000 1
Mg2 Mg 0.359 0.000 0.689 1
Mg3 Mg 0.641 0.000 0.311 1
H1 H 0.126 0.000 0.402 1
H2 H 0.874 0.000 0.598 1
Ir1 Ir 0.164 0.500 0.334 1
Ir2 Ir 0.500 0.500 0.000 1
Ir3 Ir 0.836 0.500 0.666 1
```

Most intense lines, 2θ from 10° to 90°, by angle:
two_theta, I/Imax
27.23, 54
27.76, 50
28.39, 48
39.28, 70
39.44, 35
40.10, 100
48.91, 23
49.43, 21
56.18, 12
64.60, 15

=====

8.
Theoretical X-ray diffraction stick pattern
Compound: HfAuS
Radiation: Cu Kα, 1.54184 Å
Structure: DFT lattice parameters and positions (GGA-PBE)

Cell and atoms:
```
data_HfAuS
_chemical_formula_sum 'Hf4 Au4 S4'
_space_group_name_H-M_alt 'P 1'
_space_group_IT_number 1
_cell_length_a 12.968
_cell_length_b 3.381
_cell_length_c 5.707
_cell_angle_alpha 90.00
_cell_angle_beta 110.01
_cell_angle_gamma 90.00
loop_
_space_group_symop_operation_xyz
'x,y,z'
loop_
_atom_site_label
_atom_site_type_symbol
_atom_site_fract_x
_atom_site_fract_y
_atom_site_fract_z
_atom_site_occupancy
Hf1 Hf 0.000 0.000 0.000 1
Hf2 Hf 0.243 0.500 0.887 1
Hf3 Hf 0.500 0.500 0.000 1
Hf4 Hf 0.743 0.000 0.887 1
Au1 Au 0.072 0.000 0.592 1
Au2 Au 0.394 0.000 0.287 1
Au3 Au 0.572 0.500 0.592 1
Au4 Au 0.894 0.500 0.287 1
S1 S 0.148 0.500 0.207 1
S2 S 0.354 0.000 0.715 1
S3 S 0.648 0.000 0.207 1
S4 S 0.854 0.500 0.715 1
```

Most intense lines, 2θ from 10° to 90°, by angle:
two_theta, I/Imax
14.54, 19
17.91, 56
31.52, 22
33.47, 60
34.52, 100
36.28, 49
38.67, 44
41.62, 65
44.21, 38
54.27, 22

=====

9.
Theoretical X-ray diffraction stick pattern
Compound: Sr2ZnInO5
Radiation: Cu Kα, 1.54184 Å
Structure: DFT lattice parameters and positions (GGA-PBE)

Cell and atoms:
```
data_Sr2ZnInO5
_chemical_formula_sum 'Sr4 Zn2 In2 O10'
_space_group_name_H-M_alt 'P 1'
_space_group_IT_number 1
_cell_length_a 7.439
_cell_length_b 7.439
_cell_length_c 10.337
_cell_angle_alpha 90.00
_cell_angle_beta 90.00
_cell_angle_gamma 153.57
loop_
_space_group_symop_operation_xyz
'x,y,z'
loop_
_atom_site_label
_atom_site_type_symbol
_atom_site_fract_x
_atom_site_fract_y
_atom_site_fract_z
_atom_site_occupancy
Sr1 Sr 0.116 0.884 0.500 1
Sr2 Sr 0.129 0.871 0.095 1
Sr3 Sr 0.871 0.129 0.595 1
Sr4 Sr 0.884 0.116 0.000 1
Zn1 Zn 0.488 0.512 0.275 1
Zn2 Zn 0.512 0.488 0.775 1
In1 In 0.214 0.786 0.805 1
In2 In 0.786 0.214 0.305 1
O1 O 0.059 0.941 0.839 1
O2 O 0.287 0.713 0.446 1
O3 O 0.298 0.702 0.167 1
O4 O 0.369 0.631 0.806 1
O5 O 0.500 0.500 0.086 1
O6 O 0.500 0.500 0.586 1
O7 O 0.631 0.369 0.306 1
O8 O 0.702 0.298 0.667 1
O9 O 0.713 0.287 0.946 1
O10 O 0.941 0.059 0.339 1
```

Most intense lines, 2θ from 10° to 90°, by angle:
two_theta, I/Imax
28.69, 44
30.13, 81
32.15, 100
34.71, 27
37.68, 88
38.29, 40
44.67, 27
48.07, 25
53.91, 23
54.89, 36

=====

10.
Theoretical X-ray diffraction stick pattern
Compound: Cs2HgCl4
Radiation: Cu Kα, 1.54184 Å
Structure: DFT lattice parameters and positions (GGA-PBE)

Cell and atoms:
```
data_Cs2HgCl4
_chemical_formula_sum 'Cs8 Hg4 Cl16'
_space_group_name_H-M_alt 'P 1'
_space_group_IT_number 1
_cell_length_a 7.737
_cell_length_b 9.986
_cell_length_c 14.263
_cell_angle_alpha 90.00
_cell_angle_beta 90.00
_cell_angle_gamma 90.00
loop_
_space_group_symop_operation_xyz
'x,y,z'
loop_
_atom_site_label
_atom_site_type_symbol
_atom_site_fract_x
_atom_site_fract_y
_atom_site_fract_z
_atom_site_occupancy
Cs1 Cs 0.004 0.133 0.435 1
Cs2 Cs 0.014 0.765 0.684 1
Cs3 Cs 0.486 0.235 0.184 1
Cs4 Cs 0.496 0.867 0.935 1
Cs5 Cs 0.504 0.367 0.565 1
Cs6 Cs 0.514 0.735 0.316 1
Cs7 Cs 0.986 0.265 0.816 1
Cs8 Cs 0.996 0.633 0.065 1
Hg1 Hg 0.007 0.041 0.073 1
Hg2 Hg 0.493 0.959 0.573 1
Hg3 Hg 0.507 0.459 0.927 1
Hg4 Hg 0.993 0.541 0.427 1
Cl1 Cl 0.017 0.932 0.909 1
Cl2 Cl 0.061 0.286 0.071 1
Cl3 Cl 0.241 0.084 0.653 1
Cl4 Cl 0.242 0.563 0.854 1
Cl5 Cl 0.258 0.437 0.354 1
Cl6 Cl 0.259 0.916 0.153 1
Cl7 Cl 0.439 0.714 0.571 1
Cl8 Cl 0.483 0.068 0.409 1
Cl9 Cl 0.517 0.568 0.091 1
Cl10 Cl 0.561 0.214 0.929 1
Cl11 Cl 0.741 0.416 0.347 1
Cl12 Cl 0.742 0.937 0.146 1
Cl13 Cl 0.758 0.063 0.646 1
Cl14 Cl 0.759 0.584 0.847 1
Cl15 Cl 0.939 0.786 0.429 1
Cl16 Cl 0.983 0.432 0.591 1
```

Most intense lines, 2θ from 10° to 90°, by angle:
two_theta, I/Imax
15.27, 28
15.77, 39
21.94, 100
22.09, 40
22.99, 71
29.88, 75
31.84, 39
33.48, 34
34.88, 30
53.94, 29

=====

11.
Theoretical X-ray diffraction stick pattern
Compound: Pm4NdY4
Radiation: Cu Kα, 1.54184 Å
Structure: DFT lattice parameters and positions (GGA-PBE)

Cell and atoms:
```
data_Pm4NdY4
_chemical_formula_sum 'Pm8 Nd2 Y8'
_space_group_name_H-M_alt 'P 1'
_space_group_IT_number 1
_cell_length_a 6.258
_cell_length_b 9.578
_cell_length_c 10.843
_cell_angle_alpha 100.93
_cell_angle_beta 106.47
_cell_angle_gamma 96.15
loop_
_space_group_symop_operation_xyz
'x,y,z'
loop_
_atom_site_label
_atom_site_type_symbol
_atom_site_fract_x
_atom_site_fract_y
_atom_site_fract_z
_atom_site_occupancy
Pm1 Pm 0.249 0.416 0.360 1
Pm2 Pm 0.250 0.084 0.472 1
Pm3 Pm 0.250 0.750 0.249 1
Pm4 Pm 0.250 0.751 0.917 1
Pm5 Pm 0.750 0.249 0.083 1
Pm6 Pm 0.750 0.250 0.751 1
Pm7 Pm 0.750 0.916 0.528 1
Pm8 Pm 0.751 0.584 0.640 1
Nd1 Nd 0.251 0.416 0.695 1
Nd2 Nd 0.749 0.584 0.305 1
Y1 Y 0.249 0.416 0.027 1
Y2 Y 0.250 0.083 0.138 1
Y3 Y 0.251 0.082 0.807 1
Y4 Y 0.252 0.751 0.584 1
Y5 Y 0.748 0.249 0.416 1
Y6 Y 0.749 0.918 0.193 1
Y7 Y 0.750 0.917 0.862 1
Y8 Y 0.751 0.584 0.973 1
```

Most intense lines, 2θ from 10° to 90°, by angle:
two_theta, I/Imax
30.25, 100
35.01, 34
35.20, 17
50.47, 30
59.82, 14
59.92, 14
60.12, 14
62.85, 6
82.17, 9
84.64, 8

=====

12.
Theoretical X-ray diffraction stick pattern
Compound: Ce6AlGa5
Radiation: Cu Kα, 1.54184 Å
Structure: DFT lattice parameters and positions (GGA-PBE)

Cell and atoms:
```
data_Ce6AlGa5
_chemical_formula_sum 'Ce6 Al1 Ga5'
_space_group_name_H-M_alt 'P 1'
_space_group_IT_number 1
_cell_length_a 9.252
_cell_length_b 9.252
_cell_length_c 9.252
_cell_angle_alpha 145.35
_cell_angle_beta 140.39
_cell_angle_gamma 53.62
loop_
_space_group_symop_operation_xyz
'x,y,z'
loop_
_atom_site_label
_atom_site_type_symbol
_atom_site_fract_x
_atom_site_fract_y
_atom_site_fract_z
_atom_site_occupancy
Ce1 Ce 0.074 0.332 0.743 1
Ce2 Ce 0.234 0.000 0.234 1
Ce3 Ce 0.411 0.668 0.743 1
Ce4 Ce 0.589 0.332 0.257 1
Ce5 Ce 0.766 0.000 0.766 1
Ce6 Ce 0.926 0.668 0.257 1
Al1 Al 0.500 0.500 0.000 1
Ga1 Ga 0.000 0.500 0.500 1
Ga2 Ga 0.168 0.168 0.000 1
Ga3 Ga 0.337 0.837 0.500 1
Ga4 Ga 0.663 0.163 0.500 1
Ga5 Ga 0.832 0.832 0.000 1
```

Most intense lines, 2θ from 10° to 90°, by angle:
two_theta, I/Imax
22.84, 22
32.52, 71
36.81, 100
46.65, 26
60.85, 45
68.10, 8
68.94, 15
77.51, 11
78.31, 10
80.00, 10